# 1
# Mg14TiBi
Theoretical X-ray diffraction stick pattern, λ = 1.5418 Å (Cu Kα). Input: a structure optimized by DFT (PBE).
Intensities are scaled so that the largest is 100.

The 10 most intense peaks (5° ≤ 2θ ≤ 70°), in order of rising 2θ:
2θ/deg  Rel. int.
8.49  100
15.90  26
16.20  27
18.05  40
18.32  45
23.58  28
32.74  31
34.42  39
36.57  53
37.12  96

Atomic structure:
a = 10.421 Å, b = 6.397 Å, c = 6.397 Å
α = 58.78°, β = 90.00°, γ = 90.00°
Atoms (fractional coordinates):
Mg1 0.000 0.000 0.000
Mg2 0.000 0.002 0.498
Mg3 0.000 0.498 0.002
Mg4 0.000 0.499 0.499
Mg5 0.245 0.668 0.668
Mg6 0.250 0.157 0.671
Mg7 0.250 0.671 0.157
Mg8 0.255 0.161 0.161
Mg9 0.500 0.000 0.497
Mg10 0.500 0.497 0.000
Mg11 0.745 0.161 0.161
Mg12 0.750 0.157 0.671
Mg13 0.750 0.671 0.157
Mg14 0.755 0.668 0.668
Ti1 0.500 0.998 0.998
Bi1 0.500 0.501 0.501

# 2
# Rb2BaLaI6
Theoretical X-ray diffraction stick pattern, λ = 1.5418 Å (Cu Kα). Input: a structure optimized by DFT (PBE).
Intensities are scaled so that the largest is 100.

The 10 most intense peaks (5° ≤ 2θ ≤ 70°), in order of rising 2θ:
2θ/deg  Rel. int.
13.49  44
23.48  59
27.18  100
30.46  25
38.82  76
41.28  13
45.87  28
48.03  27
56.06  13
63.40  35

Atomic structure:
a = 9.279 Å, b = 9.279 Å, c = 9.279 Å
α = 60.00°, β = 60.00°, γ = 60.00°
Atoms (fractional coordinates):
Rb1 0.250 0.250 0.250
Rb2 0.750 0.750 0.750
Ba1 0.000 0.000 0.000
La1 0.500 0.500 0.500
I1 0.257 0.257 0.743
I2 0.257 0.743 0.257
I3 0.257 0.743 0.743
I4 0.743 0.257 0.257
I5 0.743 0.257 0.743
I6 0.743 0.743 0.257

# 3
# YNp4P5
Theoretical X-ray diffraction stick pattern, λ = 1.5418 Å (Cu Kα). Input: a structure optimized by DFT (PBE).
Intensities are scaled so that the largest is 100.

The 10 most intense peaks (5° ≤ 2θ ≤ 70°), in order of rising 2θ:
2θ/deg  Rel. int.
27.50  52
27.69  51
31.97  100
45.58  12
45.86  49
46.06  13
54.17  17
54.47  25
56.78  13
57.19  13

Atomic structure:
a = 10.523 Å, b = 10.523 Å, c = 10.523 Å
α = 158.41°, β = 149.18°, γ = 37.94°
Atoms (fractional coordinates):
Y1 0.000 0.000 0.000
Np1 0.201 0.201 0.000
Np2 0.401 0.401 0.000
Np3 0.599 0.599 0.000
Np4 0.799 0.799 0.000
P1 0.103 0.603 0.500
P2 0.301 0.801 0.500
P3 0.500 0.000 0.500
P4 0.699 0.199 0.500
P5 0.897 0.397 0.500

# 4
# Sn3Pb
Theoretical X-ray diffraction stick pattern, λ = 1.5418 Å (Cu Kα). Input: a structure optimized by DFT (PBE).
Intensities are scaled so that the largest is 100.

The 10 most intense peaks (5° ≤ 2θ ≤ 70°), in order of rising 2θ:
2θ/deg  Rel. int.
29.93  23
30.23  12
31.80  34
34.00  27
34.26  100
44.24  16
53.33  14
58.25  22
63.44  16
63.95  10

Atomic structure:
a = 6.593 Å, b = 6.593 Å, c = 6.593 Å
α = 150.09°, β = 62.82°, γ = 126.16°
Atoms (fractional coordinates):
Sn1 0.000 0.000 0.000
Sn2 0.120 0.378 0.742
Sn3 0.636 0.378 0.258
Pb1 0.493 0.993 0.500

# 5
# KReIrO6
Theoretical X-ray diffraction stick pattern, λ = 1.5418 Å (Cu Kα). Input: a structure optimized by DFT (PBE).
Intensities are scaled so that the largest is 100.

The 10 most intense peaks (5° ≤ 2θ ≤ 70°), in order of rising 2θ:
2θ/deg  Rel. int.
15.16  100
19.14  33
24.51  78
30.59  16
33.48  42
36.94  49
41.93  15
45.98  51
54.68  16
58.60  18

Atomic structure:
a = 5.353 Å, b = 5.353 Å, c = 5.845 Å
α = 90.00°, β = 90.00°, γ = 120.00°
Atoms (fractional coordinates):
K1 0.000 0.000 0.000
Re1 0.333 0.667 0.500
Ir1 0.667 0.333 0.500
O1 0.011 0.395 0.679
O2 0.011 0.616 0.321
O3 0.384 0.395 0.321
O4 0.384 0.989 0.679
O5 0.605 0.616 0.679
O6 0.605 0.989 0.321

# 6
# K2AuBr2Cl2
Theoretical X-ray diffraction stick pattern, λ = 1.5418 Å (Cu Kα). Input: a structure optimized by DFT (PBE).
Intensities are scaled so that the largest is 100.

The 10 most intense peaks (5° ≤ 2θ ≤ 70°), in order of rising 2θ:
2θ/deg  Rel. int.
15.87  100
16.23  25
20.72  45
26.43  57
30.02  35
32.80  29
33.64  17
36.11  23
45.30  25
49.57  17

Atomic structure:
a = 7.388 Å, b = 6.943 Å, c = 6.568 Å
α = 66.23°, β = 59.33°, γ = 54.44°
Atoms (fractional coordinates):
K1 0.250 0.250 0.250
K2 0.750 0.750 0.750
Au1 0.000 0.000 0.000
Br1 0.262 0.738 0.262
Br2 0.738 0.262 0.738
Cl1 0.225 0.225 0.775
Cl2 0.775 0.775 0.225

# 7
# AcPd3O6
Theoretical X-ray diffraction stick pattern, λ = 1.5418 Å (Cu Kα). Input: a structure optimized by DFT (PBE).
Intensities are scaled so that the largest is 100.

The 10 most intense peaks (5° ≤ 2θ ≤ 70°), in order of rising 2θ:
2θ/deg  Rel. int.
14.78  22
29.81  97
30.39  100
34.46  25
35.11  46
50.01  59
51.24  15
58.88  15
59.41  30
60.41  26

Atomic structure:
a = 6.367 Å, b = 6.367 Å, c = 3.566 Å
α = 90.00°, β = 90.00°, γ = 109.69°
Atoms (fractional coordinates):
Ac1 0.000 0.000 0.000
Pd1 0.000 0.500 0.500
Pd2 0.500 0.000 0.500
Pd3 0.500 0.500 0.000
O1 0.167 0.434 0.000
O2 0.167 0.833 0.500
O3 0.434 0.167 0.000
O4 0.566 0.833 0.000
O5 0.833 0.167 0.500
O6 0.833 0.566 0.000

# 8
# Er5TmSc5
Theoretical X-ray diffraction stick pattern, λ = 1.5418 Å (Cu Kα). Input: a structure optimized by DFT (PBE).
Intensities are scaled so that the largest is 100.

The 10 most intense peaks (5° ≤ 2θ ≤ 70°), in order of rising 2θ:
2θ/deg  Rel. int.
7.92  27
29.98  100
31.08  88
32.12  27
36.94  24
43.73  25
49.01  18
54.61  38
55.29  21
59.17  26

Atomic structure:
a = 5.755 Å, b = 5.755 Å, c = 11.157 Å
α = 90.00°, β = 90.00°, γ = 120.00°
Atoms (fractional coordinates):
Er1 0.000 0.000 0.000
Er2 0.333 0.667 0.318
Er3 0.333 0.667 0.682
Er4 0.667 0.333 0.160
Er5 0.667 0.333 0.840
Tm1 0.333 0.667 0.000
Sc1 0.000 0.000 0.269
Sc2 0.000 0.000 0.731
Sc3 0.330 0.165 0.500
Sc4 0.835 0.165 0.500
Sc5 0.835 0.670 0.500

# 9
# NdY4Tl2
Theoretical X-ray diffraction stick pattern, λ = 1.5418 Å (Cu Kα). Input: a structure optimized by DFT (PBE).
Intensities are scaled so that the largest is 100.

The 10 most intense peaks (5° ≤ 2θ ≤ 70°), in order of rising 2θ:
2θ/deg  Rel. int.
20.17  67
23.01  28
25.63  15
30.44  18
34.94  100
35.08  90
37.54  14
43.84  22
50.35  32
62.72  51

Atomic structure:
a = 10.839 Å, b = 10.839 Å, c = 10.839 Å
α = 27.41°, β = 27.41°, γ = 27.41°
Atoms (fractional coordinates):
Nd1 0.000 0.000 0.000
Y1 0.205 0.205 0.205
Y2 0.390 0.390 0.390
Y3 0.610 0.610 0.610
Y4 0.795 0.795 0.795
Tl1 0.102 0.102 0.102
Tl2 0.898 0.898 0.898

# 10
# Ba2CaAuO4
Theoretical X-ray diffraction stick pattern, λ = 1.5418 Å (Cu Kα). Input: a structure optimized by DFT (PBE).
Intensities are scaled so that the largest is 100.

The 10 most intense peaks (5° ≤ 2θ ≤ 70°), in order of rising 2θ:
2θ/deg  Rel. int.
18.46  17
19.28  14
27.40  59
31.76  100
39.13  33
51.25  61
56.54  10
59.11  16
63.95  13
66.33  23

Atomic structure:
a = 5.822 Å, b = 5.822 Å, c = 5.822 Å
α = 112.00°, β = 112.00°, γ = 104.53°
Atoms (fractional coordinates):
Ba1 0.000 0.000 0.000
Ba2 0.750 0.250 0.500
Ca1 0.500 0.500 0.000
Au1 0.250 0.750 0.500
O1 0.127 0.088 0.606
O2 0.479 0.873 0.961
O3 0.482 0.521 0.394
O4 0.912 0.518 0.039

# 11
# RbLiDyI5
Theoretical X-ray diffraction stick pattern, λ = 1.5418 Å (Cu Kα). Input: a structure optimized by DFT (PBE).
Intensities are scaled so that the largest is 100.

The 10 most intense peaks (5° ≤ 2θ ≤ 70°), in order of rising 2θ:
2θ/deg  Rel. int.
11.44  80
16.99  64
24.15  64
24.50  77
27.24  100
29.40  32
32.09  30
32.82  39
40.28  37
43.84  28

Atomic structure:
a = 8.565 Å, b = 8.565 Å, c = 11.473 Å
α = 103.48°, β = 103.48°, γ = 107.24°
Atoms (fractional coordinates):
Rb1 0.150 0.850 0.750
Rb2 0.850 0.150 0.250
Li1 0.192 0.808 0.250
Li2 0.808 0.192 0.750
Dy1 0.500 0.500 0.000
Dy2 0.500 0.500 0.500
I1 0.127 0.261 0.932
I2 0.191 0.589 0.394
I3 0.261 0.127 0.432
I4 0.411 0.809 0.106
I5 0.422 0.578 0.750
I6 0.578 0.422 0.250
I7 0.589 0.191 0.894
I8 0.739 0.873 0.568
I9 0.809 0.411 0.606
I10 0.873 0.739 0.068

# 12
# Rb3CuH4
Theoretical X-ray diffraction stick pattern, λ = 1.5418 Å (Cu Kα). Input: a structure optimized by DFT (PBE).
Intensities are scaled so that the largest is 100.

The 10 most intense peaks (5° ≤ 2θ ≤ 70°), in order of rising 2θ:
2θ/deg  Rel. int.
27.82  27
28.98  100
29.17  25
40.75  19
42.13  9
49.94  19
51.25  9
51.59  19
52.06  9
60.05  11

Atomic structure:
a = 6.169 Å, b = 6.169 Å, c = 6.169 Å
α = 120.48°, β = 91.89°, γ = 117.36°
Atoms (fractional coordinates):
Rb1 0.000 0.000 0.000
Rb2 0.238 0.478 0.760
Rb3 0.718 0.478 0.240
Cu1 0.527 0.027 0.500
H1 0.232 0.898 0.333
H2 0.565 0.898 0.667
H3 0.687 0.402 0.715
H4 0.687 0.972 0.285

# 13
# SrCa2Mg2Ga2
Theoretical X-ray diffraction stick pattern, λ = 1.5418 Å (Cu Kα). Input: a structure optimized by DFT (PBE).
Intensities are scaled so that the largest is 100.

The 10 most intense peaks (5° ≤ 2θ ≤ 70°), in order of rising 2θ:
2θ/deg  Rel. int.
21.19  31
24.32  28
30.14  50
32.48  98
36.73  100
49.83  28
53.24  20
61.03  15
63.48  26
66.15  17

Atomic structure:
a = 10.085 Å, b = 10.085 Å, c = 10.085 Å
α = 28.08°, β = 28.08°, γ = 28.08°
Atoms (fractional coordinates):
Sr1 0.000 0.000 0.000
Ca1 0.131 0.131 0.131
Ca2 0.869 0.869 0.869
Mg1 0.408 0.408 0.408
Mg2 0.592 0.592 0.592
Ga1 0.251 0.251 0.251
Ga2 0.749 0.749 0.749

# 14
# Sc5Ni2Ir
Theoretical X-ray diffraction stick pattern, λ = 1.5418 Å (Cu Kα). Input: a structure optimized by DFT (PBE).
Intensities are scaled so that the largest is 100.

The 10 most intense peaks (5° ≤ 2θ ≤ 70°), in order of rising 2θ:
2θ/deg  Rel. int.
19.08  33
23.04  100
25.75  22
32.25  44
36.22  73
37.74  75
38.72  29
43.51  68
43.82  27
51.25  32

Atomic structure:
a = 8.336 Å, b = 8.336 Å, c = 8.336 Å
α = 133.53°, β = 133.53°, γ = 67.82°
Atoms (fractional coordinates):
Sc1 0.000 0.000 0.000
Sc2 0.027 0.527 0.850
Sc3 0.178 0.027 0.500
Sc4 0.322 0.822 0.850
Sc5 0.473 0.322 0.500
Sc6 0.500 0.500 0.000
Sc7 0.527 0.678 0.500
Sc8 0.678 0.178 0.150
Sc9 0.822 0.973 0.500
Sc10 0.973 0.473 0.150
Ni1 0.125 0.375 0.500
Ni2 0.375 0.875 0.250
Ni3 0.625 0.125 0.750
Ni4 0.875 0.625 0.500
Ir1 0.250 0.250 0.000
Ir2 0.750 0.750 0.000